Entry 1:
Simulated powder X-ray diffraction pattern of KNiCl6 for a wavelength of 1.5418 Å, from a DFT-relaxed cell (GGA-PBE, Alexandria).
Peak positions follow from Bragg's law for the DFT cell and can differ from measured ones.

Peak list (6 most intense, 2θ = 15–90°, sorted by position)
2θ = 15.35°, rel. 50; 2θ = 18.89°, rel. 64; 2θ = 24.40°, rel. 47; 2θ = 31.06°, rel. 32; 2θ = 36.54°, rel. 100; 2θ = 53.79°, rel. 30

Cell and atoms:
Cell: 6.0730 6.0730 6.0730 Å, 101.36 101.36 101.36°
Atoms (fractional coordinates):
K1 0.0000 0.0000 0.0000
Ni1 0.5000 0.5000 0.5000
Cl1 0.2300 0.2300 0.5630
Cl2 0.2300 0.5630 0.2300
Cl3 0.4370 0.7700 0.7700
Cl4 0.5630 0.2300 0.2300
Cl5 0.7700 0.4370 0.7700
Cl6 0.7700 0.7700 0.4370

---

Entry 2:
Simulated powder X-ray diffraction pattern of KRbNiCl4 for a wavelength of 1.5418 Å, from a DFT-relaxed cell (GGA-PBE, Alexandria).
Peak positions follow from Bragg's law for the DFT cell and can differ from measured ones.

Peak list (6 most intense, 2θ = 15–90°, sorted by position)
2θ = 24.93°, rel. 100; 2θ = 30.92°, rel. 79; 2θ = 31.06°, rel. 77; 2θ = 32.22°, rel. 99; 2θ = 37.85°, rel. 98; 2θ = 38.18°, rel. 81

Cell and atoms:
Cell: 6.8035 7.1429 9.4274 Å, 90.00 110.57 90.00°
Atoms (fractional coordinates):
K1 0.1952 0.2500 0.0441
K2 0.8048 0.7500 0.9559
Rb1 0.2822 0.2500 0.5730
Rb2 0.7178 0.7500 0.4270
Ni1 0.2351 0.7500 0.8057
Ni2 0.7649 0.2500 0.1943
Cl1 0.0114 0.5064 0.7472
Cl2 0.0114 0.9936 0.7472
Cl3 0.3634 0.7500 0.0599
Cl4 0.4016 0.7500 0.6379
Cl5 0.5984 0.2500 0.3621
Cl6 0.6366 0.2500 0.9401
Cl7 0.9886 0.0064 0.2528
Cl8 0.9886 0.4936 0.2528

---

Entry 3:
Simulated powder X-ray diffraction pattern of KTl3Ni2Cl9 for a wavelength of 1.5418 Å, from a DFT-relaxed cell (GGA-PBE, Alexandria).
Peak positions follow from Bragg's law for the DFT cell and can differ from measured ones.

Peak list (6 most intense, 2θ = 15–90°, sorted by position)
2θ = 17.15°, rel. 42; 2θ = 23.02°, rel. 100; 2θ = 25.62°, rel. 100; 2θ = 30.99°, rel. 72; 2θ = 34.71°, rel. 100; 2θ = 40.23°, rel. 52

Cell and atoms:
Cell: 6.9548 6.9548 10.0691 Å, 90.00 90.00 120.00°
Atoms (fractional coordinates):
K1 0.0000 0.0000 0.0000
Tl1 0.0000 0.0000 0.5000
Tl2 0.3333 0.6667 0.2482
Tl3 0.6667 0.3333 0.7518
Ni1 0.3333 0.6667 0.6502
Ni2 0.6667 0.3333 0.3498
Cl1 0.0000 0.5000 0.5000
Cl2 0.1748 0.3495 0.7719
Cl3 0.1748 0.8252 0.7719
Cl4 0.3495 0.1748 0.2281
Cl5 0.5000 0.0000 0.5000
Cl6 0.5000 0.5000 0.5000
Cl7 0.6505 0.8252 0.7719
Cl8 0.8252 0.1748 0.2281
Cl9 0.8252 0.6505 0.2281

---

Entry 4:
Simulated powder X-ray diffraction pattern of KVNi2Cl8 for a wavelength of 1.5418 Å, from a DFT-relaxed cell (GGA-PBE, Alexandria).
Peak positions follow from Bragg's law for the DFT cell and can differ from measured ones.

Peak list (6 most intense, 2θ = 15–90°, sorted by position)
2θ = 20.85°, rel. 100; 2θ = 29.04°, rel. 33; 2θ = 30.57°, rel. 50; 2θ = 34.80°, rel. 39; 2θ = 48.55°, rel. 34; 2θ = 51.48°, rel. 40

Cell and atoms:
Cell: 10.1080 10.1080 10.1080 Å, 35.42 35.42 35.42°
Atoms (fractional coordinates):
K1 0.0000 0.0000 0.0000
V1 0.5000 0.5000 0.5000
Ni1 0.2382 0.2382 0.2382
Ni2 0.7618 0.7618 0.7618
Cl1 0.1435 0.4432 0.7672
Cl2 0.2328 0.8565 0.5568
Cl3 0.3151 0.3151 0.3151
Cl4 0.4432 0.7672 0.1435
Cl5 0.5568 0.2328 0.8565
Cl6 0.6849 0.6849 0.6849
Cl7 0.7672 0.1435 0.4432
Cl8 0.8565 0.5568 0.2328

---

Entry 5:
Simulated powder X-ray diffraction pattern of KNpCl14 for a wavelength of 1.5418 Å, from a DFT-relaxed cell (GGA-PBE, Alexandria).
Peak positions follow from Bragg's law for the DFT cell and can differ from measured ones.

Peak list (6 most intense, 2θ = 15–90°, sorted by position)
2θ = 15.98°, rel. 100; 2θ = 17.48°, rel. 36; 2θ = 20.32°, rel. 30; 2θ = 22.83°, rel. 31; 2θ = 29.17°, rel. 43; 2θ = 29.92°, rel. 37

Cell and atoms:
Cell: 8.5777 8.8646 8.8646 Å, 69.84 90.00 90.00°
Atoms (fractional coordinates):
K1 0.0000 0.0000 0.0000
Np1 0.0000 0.6060 0.6060
Cl1 0.0000 0.5801 0.8960
Cl2 0.0000 0.8960 0.5801
Cl3 0.1931 0.3822 0.6962
Cl4 0.1931 0.6962 0.3822
Cl5 0.3116 0.1162 0.1162
Cl6 0.3132 0.8879 0.8879
Cl7 0.5000 0.0043 0.0043
Cl8 0.5000 0.1215 0.5354
Cl9 0.5000 0.3681 0.3681
Cl10 0.5000 0.5354 0.1215
Cl11 0.6868 0.8879 0.8879
Cl12 0.6884 0.1162 0.1162
Cl13 0.8068 0.3822 0.6962
Cl14 0.8068 0.6962 0.3822

---

Entry 6:
Simulated powder X-ray diffraction pattern of KNp2Cl7 for a wavelength of 1.5418 Å, from a DFT-relaxed cell (GGA-PBE, Alexandria).
Peak positions follow from Bragg's law for the DFT cell and can differ from measured ones.

Peak list (6 most intense, 2θ = 15–90°, sorted by position)
2θ = 16.37°, rel. 100; 2θ = 20.43°, rel. 55; 2θ = 20.72°, rel. 41; 2θ = 21.57°, rel. 60; 2θ = 33.08°, rel. 37; 2θ = 37.54°, rel. 43

Cell and atoms:
Cell: 8.2555 8.2555 5.4159 Å, 90.00 90.00 116.46°
Atoms (fractional coordinates):
K1 0.0000 0.0000 0.0000
Np1 0.3050 0.6950 0.5000
Np2 0.6950 0.3050 0.5000
Cl1 0.0480 0.3258 0.5000
Cl2 0.2924 0.7076 0.0000
Cl3 0.3258 0.0480 0.5000
Cl4 0.5000 0.5000 0.5000
Cl5 0.6742 0.9520 0.5000
Cl6 0.7076 0.2924 0.0000
Cl7 0.9520 0.6742 0.5000

---

Entry 7:
Simulated powder X-ray diffraction pattern of KNpCl5 for a wavelength of 1.5418 Å, from a DFT-relaxed cell (GGA-PBE, Alexandria).
Peak positions follow from Bragg's law for the DFT cell and can differ from measured ones.

Peak list (6 most intense, 2θ = 15–90°, sorted by position)
2θ = 15.71°, rel. 89; 2θ = 18.34°, rel. 37; 2θ = 18.58°, rel. 35; 2θ = 19.62°, rel. 100; 2θ = 20.57°, rel. 38; 2θ = 33.75°, rel. 28

Cell and atoms:
Cell: 7.5530 7.5530 10.6252 Å, 109.83 109.83 69.75°
Atoms (fractional coordinates):
K1 0.0400 0.9600 0.7500
K2 0.9600 0.0400 0.2500
Np1 0.5000 0.5000 0.0000
Np2 0.5000 0.5000 0.5000
Cl1 0.1559 0.7302 0.0085
Cl2 0.2054 0.3591 0.3810
Cl3 0.2698 0.8441 0.4915
Cl4 0.3591 0.2054 0.8810
Cl5 0.4286 0.5714 0.7500
Cl6 0.5714 0.4286 0.2500
Cl7 0.6409 0.7946 0.1190
Cl8 0.7302 0.1559 0.5085
Cl9 0.7946 0.6409 0.6190
Cl10 0.8441 0.2698 0.9915

---

Entry 8:
Simulated powder X-ray diffraction pattern of K4NpS2ClO10 for a wavelength of 1.5418 Å, from a DFT-relaxed cell (GGA-PBE, Alexandria).
Peak positions follow from Bragg's law for the DFT cell and can differ from measured ones.

Peak list (6 most intense, 2θ = 15–90°, sorted by position)
2θ = 17.72°, rel. 45; 2θ = 25.82°, rel. 100; 2θ = 27.10°, rel. 40; 2θ = 27.26°, rel. 45; 2θ = 33.27°, rel. 38; 2θ = 42.08°, rel. 37

Cell and atoms:
Cell: 10.2819 4.5780 15.8045 Å, 90.00 116.03 90.00°
Atoms (fractional coordinates):
K1 0.0689 0.2299 0.1304
K2 0.0689 0.7701 0.6304
K3 0.3330 0.2297 0.8930
K4 0.3330 0.7703 0.3930
K5 0.6670 0.2297 0.6070
K6 0.6670 0.7703 0.1070
K7 0.9311 0.2299 0.3696
K8 0.9311 0.7701 0.8696
Np1 0.5000 0.2702 0.2500
Np2 0.5000 0.7298 0.7500
S1 0.2989 0.3439 0.5693
S2 0.2989 0.6561 0.0693
S3 0.7011 0.3439 0.9307
S4 0.7011 0.6561 0.4307
Cl1 0.0000 0.2616 0.7500
Cl2 0.0000 0.7384 0.2500
O1 0.1526 0.2508 0.5532
O2 0.1526 0.7492 0.0532
O3 0.3131 0.3296 0.0831
O4 0.3131 0.6704 0.5831
O5 0.3343 0.2596 0.4918
O6 0.3343 0.7404 0.9918
O7 0.3503 0.2697 0.2855
O8 0.3503 0.7303 0.7855
O9 0.4134 0.2273 0.6628
O10 0.4134 0.7727 0.1628
O11 0.5866 0.2273 0.8372
O12 0.5866 0.7727 0.3372
O13 0.6497 0.2697 0.2145
O14 0.6497 0.7303 0.7145
O15 0.6657 0.2596 0.0082
O16 0.6657 0.7404 0.5082
O17 0.6869 0.3296 0.4169
O18 0.6869 0.6704 0.9169
O19 0.8474 0.2508 0.9468
O20 0.8474 0.7492 0.4468

---

Entry 9:
Simulated powder X-ray diffraction pattern of KNpPdCl6 for a wavelength of 1.5418 Å, from a DFT-relaxed cell (GGA-PBE, Alexandria).
Peak positions follow from Bragg's law for the DFT cell and can differ from measured ones.

Peak list (6 most intense, 2θ = 15–90°, sorted by position)
2θ = 15.04°, rel. 82; 2θ = 18.95°, rel. 86; 2θ = 19.81°, rel. 78; 2θ = 19.96°, rel. 83; 2θ = 30.05°, rel. 100; 2θ = 37.27°, rel. 86

Cell and atoms:
Cell: 6.6013 6.6036 7.2872 Å, 91.55 91.61 116.73°
Atoms (fractional coordinates):
K1 0.0000 0.0000 0.0000
Np1 0.6516 0.3480 0.4998
Pd1 0.3173 0.6824 0.5001
Cl1 0.3378 0.0209 0.6875
Cl2 0.3424 0.3895 0.2833
Cl3 0.6108 0.6570 0.7166
Cl4 0.6442 0.0433 0.2625
Cl5 0.9572 0.3547 0.7362
Cl6 0.9787 0.6627 0.3127

---

Entry 10:
Simulated powder X-ray diffraction pattern of K2NpSnCl8 for a wavelength of 1.5418 Å, from a DFT-relaxed cell (GGA-PBE, Alexandria).
Peak positions follow from Bragg's law for the DFT cell and can differ from measured ones.

Peak list (6 most intense, 2θ = 15–90°, sorted by position)
2θ = 17.63°, rel. 100; 2θ = 18.49°, rel. 69; 2θ = 24.09°, rel. 64; 2θ = 26.92°, rel. 72; 2θ = 35.23°, rel. 57; 2θ = 44.98°, rel. 45

Cell and atoms:
Cell: 6.8044 8.8021 7.1091 Å, 90.00 92.72 90.00°
Atoms (fractional coordinates):
K1 0.0000 0.2455 0.0000
K2 0.0000 0.7545 0.0000
Np1 0.5000 0.5000 0.5000
Sn1 0.5000 0.0000 0.5000
Cl1 0.2475 0.0000 0.1943
Cl2 0.2667 0.5000 0.1995
Cl3 0.2951 0.2764 0.6426
Cl4 0.2951 0.7236 0.6426
Cl5 0.7049 0.2764 0.3574
Cl6 0.7049 0.7236 0.3574
Cl7 0.7333 0.5000 0.8005
Cl8 0.7525 0.0000 0.8057

---

Entry 11:
Simulated powder X-ray diffraction pattern of K4ClO12 for a wavelength of 1.5418 Å, from a DFT-relaxed cell (GGA-PBE, Alexandria).
Peak positions follow from Bragg's law for the DFT cell and can differ from measured ones.

Peak list (6 most intense, 2θ = 15–90°, sorted by position)
2θ = 29.61°, rel. 100; 2θ = 33.20°, rel. 22; 2θ = 39.52°, rel. 14; 2θ = 47.66°, rel. 21; 2θ = 52.54°, rel. 15; 2θ = 54.86°, rel. 13

Cell and atoms:
Cell: 7.3893 7.3893 7.3893 Å, 109.47 109.47 109.47°
Atoms (fractional coordinates):
K1 0.0000 0.0000 0.5000
K2 0.0000 0.5000 0.0000
K3 0.5000 0.0000 0.0000
K4 0.5000 0.5000 0.5000
Cl1 0.0000 0.0000 0.0000
O1 0.1204 0.4248 0.5452
O2 0.1204 0.5752 0.6957
O3 0.3043 0.8796 0.4248
O4 0.4248 0.3043 0.8796
O5 0.4248 0.5452 0.1204
O6 0.4548 0.8796 0.5752
O7 0.5452 0.1204 0.4248
O8 0.5752 0.4548 0.8796
O9 0.5752 0.6957 0.1204
O10 0.6957 0.1204 0.5752
O11 0.8796 0.4248 0.3043
O12 0.8796 0.5752 0.4548

---

Entry 12:
Simulated powder X-ray diffraction pattern of K6Cl4O for a wavelength of 1.5418 Å, from a DFT-relaxed cell (GGA-PBE, Alexandria).
Peak positions follow from Bragg's law for the DFT cell and can differ from measured ones.

Peak list (6 most intense, 2θ = 15–90°, sorted by position)
2θ = 24.96°, rel. 31; 2θ = 30.74°, rel. 38; 2θ = 32.28°, rel. 35; 2θ = 33.99°, rel. 100; 2θ = 35.29°, rel. 24; 2θ = 51.31°, rel. 16

Cell and atoms:
Cell: 8.7523 8.7523 8.7523 Å, 89.62 89.62 89.62°
Atoms (fractional coordinates):
K1 0.0558 0.9287 0.7193
K2 0.0713 0.2807 0.9442
K3 0.2193 0.4287 0.5558
K4 0.2807 0.9442 0.0713
K5 0.4287 0.5558 0.2193
K6 0.4442 0.7807 0.5713
K7 0.5558 0.2193 0.4287
K8 0.5713 0.4442 0.7807
K9 0.7193 0.0558 0.9287
K10 0.7807 0.5713 0.4442
K11 0.9287 0.7193 0.0558
K12 0.9442 0.0713 0.2807
Cl1 0.1180 0.7500 0.3820
Cl2 0.2500 0.2500 0.2500
Cl3 0.2500 0.6180 0.8820
Cl4 0.3820 0.1180 0.7500
Cl5 0.6180 0.8820 0.2500
Cl6 0.7500 0.3820 0.1180
Cl7 0.7500 0.7500 0.7500
Cl8 0.8820 0.2500 0.6180
O1 0.0000 0.0000 0.0000
O2 0.5000 0.5000 0.5000